For TaCoHgSb, a GGA-PBE-relaxed structure gives the computed powder XRD pattern in this record (copper Kα).
Neutral-atom scattering factors, no anomalous dispersion.

```
data_TaCoHgSb
_cell_length_a 6.6024
_cell_length_b 6.6024
_cell_length_c 6.6024
_cell_angle_alpha 90.00
_cell_angle_beta 90.00
_cell_angle_gamma 90.00
_symmetry_space_group_name_H-M 'F -4 3 m'
_symmetry_Int_Tables_number 216
_symmetry_space_group_name_Hall 'F -4 2 3'
loop_
_atom_site_label
_atom_site_type_symbol
_atom_site_fract_x
_atom_site_fract_y
_atom_site_fract_z
Ta1 Ta 0.0000 0.0000 0.0000
Co1 Co 0.0000 0.0000 0.5000
Hg1 Hg 0.2500 0.2500 0.7500
Sb1 Sb 0.2500 0.2500 0.2500
```

Peak list (8 most intense, 10 to 80 degrees two-theta, sorted by position)
d [Å]	I/Imax	(hkl)
3.812	146	1 1 1
3.301	26	2 0 0
2.334	1000	2 2 0
1.991	81	3 1 1
1.651	172	4 0 0
1.515	36	3 3 1
1.348	348	4 2 2
1.271	28	5 1 1

***

For Sm12Co6Hg, a GGA-PBE-relaxed structure gives the computed powder XRD pattern in this record (copper Kα).
Neutral-atom scattering factors, no anomalous dispersion.

```
data_Sm12Co6Hg
_cell_length_a 9.8407
_cell_length_b 9.8407
_cell_length_c 9.8407
_cell_angle_alpha 90.00
_cell_angle_beta 90.00
_cell_angle_gamma 90.00
_symmetry_space_group_name_H-M 'I m -3'
_symmetry_Int_Tables_number 204
_symmetry_space_group_name_Hall '-I 2 2 3'
loop_
_atom_site_label
_atom_site_type_symbol
_atom_site_fract_x
_atom_site_fract_y
_atom_site_fract_z
Sm1 Sm 0.0000 0.3044 0.1938
Co1 Co 0.0000 0.1120 0.5000
Hg1 Hg 0.0000 0.0000 0.0000
```

Peak list (8 most intense, 10 to 80 degrees two-theta, sorted by position)
d [Å]	I/Imax	(hkl)
3.112	459	3 0 1
2.841	560	2 2 2
2.630	1000	3 1 2
2.460	213	4 0 0
1.930	264	5 0 1
1.688	356	5 3 0
1.596	391	5 2 3
1.392	211	5 3 4

***

For YCoSnHg, a GGA-PBE-relaxed structure gives the computed powder XRD pattern in this record (copper Kα).
Neutral-atom scattering factors, no anomalous dispersion.

```
data_YCoSnHg
_cell_length_a 6.9153
_cell_length_b 6.9153
_cell_length_c 6.9153
_cell_angle_alpha 90.00
_cell_angle_beta 90.00
_cell_angle_gamma 90.00
_symmetry_space_group_name_H-M 'F -4 3 m'
_symmetry_Int_Tables_number 216
_symmetry_space_group_name_Hall 'F -4 2 3'
loop_
_atom_site_label
_atom_site_type_symbol
_atom_site_fract_x
_atom_site_fract_y
_atom_site_fract_z
Y1 Y 0.0000 0.0000 0.0000
Co1 Co 0.0000 0.0000 0.5000
Sn1 Sn 0.2500 0.2500 0.2500
Hg1 Hg 0.2500 0.2500 0.7500
```

Peak list (8 most intense, 10 to 80 degrees two-theta, sorted by position)
d [Å]	I/Imax	(hkl)
3.993	72	1 1 1
3.458	151	2 0 0
2.445	1000	2 2 0
1.996	49	2 2 2
1.729	175	4 0 0
1.546	70	4 2 0
1.412	358	4 2 2
1.222	113	4 4 0

***

For ThCoHg, a GGA-PBE-relaxed structure gives the computed powder XRD pattern in this record (copper Kα).
Neutral-atom scattering factors, no anomalous dispersion.

```
data_ThCoHg
_cell_length_a 3.6950
_cell_length_b 17.4473
_cell_length_c 3.9588
_cell_angle_alpha 90.00
_cell_angle_beta 90.00
_cell_angle_gamma 90.00
_symmetry_space_group_name_H-M 'C m c m'
_symmetry_Int_Tables_number 63
_symmetry_space_group_name_Hall '-C 2c 2'
loop_
_atom_site_label
_atom_site_type_symbol
_atom_site_fract_x
_atom_site_fract_y
_atom_site_fract_z
Th1 Th 0.0000 0.0878 0.2500
Co1 Co 0.0000 0.4460 0.2500
Hg1 Hg 0.0000 0.2922 0.2500
```

Peak list (8 most intense, 10 to 80 degrees two-theta, sorted by position)
d [Å]	I/Imax	(hkl)
2.931	500	0 4 1
2.669	1000	1 1 1
2.537	615	1 5 0
2.344	274	0 6 1
1.979	228	0 0 2
1.847	185	2 0 0
1.575	243	1 9 1
1.561	452	1 5 2

***

For HoCo12, a GGA-PBE-relaxed structure gives the computed powder XRD pattern in this record (copper Kα).
Neutral-atom scattering factors, no anomalous dispersion.

```
data_HoCo12
_cell_length_a 8.2025
_cell_length_b 8.2025
_cell_length_c 4.6266
_cell_angle_alpha 90.00
_cell_angle_beta 90.00
_cell_angle_gamma 90.00
_symmetry_space_group_name_H-M 'I 4/m m m'
_symmetry_Int_Tables_number 139
_symmetry_space_group_name_Hall '-I 4 2'
loop_
_atom_site_label
_atom_site_type_symbol
_atom_site_fract_x
_atom_site_fract_y
_atom_site_fract_z
Ho1 Ho 0.0000 0.0000 0.0000
Co1 Co 0.0000 0.2246 0.5000
Co2 Co 0.0000 0.3581 0.0000
Co3 Co 0.2500 0.2500 0.2500
```

Peak list (8 most intense, 10 to 80 degrees two-theta, sorted by position)
d [Å]	I/Imax	(hkl)
2.874	369	2 1 1
2.354	473	3 0 1
2.313	174	0 0 2
2.051	590	4 0 0
2.042	1000	3 2 1
2.015	712	2 0 2
1.808	250	2 2 2
1.277	201	3 2 3

***

For Ho2Co17, a GGA-PBE-relaxed structure gives the computed powder XRD pattern in this record (copper Kα).
Neutral-atom scattering factors, no anomalous dispersion.

```
data_Ho2Co17
_cell_length_a 8.2455
_cell_length_b 8.2455
_cell_length_c 8.0582
_cell_angle_alpha 90.00
_cell_angle_beta 90.00
_cell_angle_gamma 120.00
_symmetry_space_group_name_H-M 'P 63/m m c'
_symmetry_Int_Tables_number 194
_symmetry_space_group_name_Hall '-P 6c 2c'
loop_
_atom_site_label
_atom_site_type_symbol
_atom_site_fract_x
_atom_site_fract_y
_atom_site_fract_z
Ho1 Ho 0.0000 0.0000 0.2500
Ho2 Ho 0.3333 0.6667 0.2500
Co1 Co 0.0000 0.5000 0.0000
Co2 Co 0.0455 0.3738 0.7500
Co3 Co 0.1664 0.3328 0.0220
Co4 Co 0.3333 0.6667 0.6063
```

Peak list (8 most intense, 10 to 80 degrees two-theta, sorted by position)
d [Å]	I/Imax	(hkl)
2.882	421	1 1 2
2.380	411	3 0 0
2.146	402	2 0 3
2.061	627	2 2 0
2.049	1000	3 0 2
2.015	313	0 0 4
1.835	173	2 2 2
1.453	172	4 1 2